# 1
The following is a theoretical powder diffraction line list of Pr2CuSi2Ni. It was derived from DFT lattice parameters and positions (PBE), using CuKα.

Atomic structure:
```
Pr2CuSi2Ni
1.0
4.108 0.000 0.000
-2.054 3.557 0.000
0.000 0.000 8.390
Pr Cu Si Ni
2 1 2 1
Direct
0.000 0.000 0.243
0.000 0.000 0.757
0.333 0.667 0.500
0.333 0.667 0.000
0.667 0.333 0.500
0.667 0.333 0.000
```

Top 10 peaks for 2θ from 5° to 70°, low angle first:
- hkl 1 0 0, 2θ 25.03, rel. 25
- hkl 1 0 1, 2θ 27.23, rel. 5
- hkl 1 0 2, 2θ 33.02, rel. 100
- hkl 0 0 4, 2θ 43.13, rel. 12
- hkl 1 1 0, 2θ 44.09, rel. 35
- hkl 1 0 4, 2θ 50.51, rel. 7
- hkl 2 0 0, 2θ 51.37, rel. 4
- hkl 2 0 2, 2θ 56.17, rel. 21
- hkl 1 1 4, 2θ 63.38, rel. 23
- hkl 2 1 0, 2θ 69.97, rel. 3



# 2
The following is a theoretical powder diffraction line list of NdAl5CoIr. It was derived from DFT lattice parameters and positions (PBE), using CuKα.

Atomic structure:
```
NdAl5CoIr
1.0
4.018 0.000 0.000
0.000 7.195 0.000
0.000 0.000 9.794
Nd Al Co Ir
2 10 2 2
Direct
0.000 0.000 0.000
0.500 0.500 0.500
0.000 0.184 0.666
0.000 0.197 0.347
0.000 0.500 0.013
0.000 0.803 0.347
0.000 0.816 0.666
0.500 0.000 0.513
0.500 0.303 0.847
0.500 0.316 0.166
0.500 0.684 0.166
0.500 0.697 0.847
0.000 0.500 0.246
0.500 0.000 0.746
0.000 0.500 0.768
0.500 0.000 0.268
```

Top 10 peaks for 2θ from 5° to 70°, low angle first:
- hkl 0 1 1, 2θ 15.28, rel. 42
- hkl 1 0 1, 2θ 23.94, rel. 27
- hkl 0 2 0, 2θ 24.75, rel. 44
- hkl 0 1 3, 2θ 30.06, rel. 30
- hkl 1 1 2, 2θ 31.37, rel. 100
- hkl 1 2 1, 2θ 34.70, rel. 46
- hkl 0 2 4, 2θ 44.78, rel. 33
- hkl 2 0 0, 2θ 45.14, rel. 29
- hkl 1 3 2, 2θ 47.92, rel. 47
- hkl 2 2 4, 2θ 65.46, rel. 21



# 3
The following is a theoretical powder diffraction line list of TbGdFe2Si4. It was derived from DFT lattice parameters and positions (PBE), using CuKα.

Atomic structure:
```
TbGdFe2Si4
1.0
3.978 0.000 0.000
0.000 4.067 0.000
0.000 0.000 16.431
Tb Gd Fe Si
2 2 4 8
Direct
0.000 0.000 0.000
0.000 0.500 0.500
0.500 0.000 0.784
0.500 0.500 0.284
0.000 0.000 0.213
0.000 0.500 0.713
0.500 0.000 0.571
0.500 0.500 0.071
0.000 0.000 0.349
0.000 0.000 0.642
0.000 0.500 0.142
0.000 0.500 0.849
0.500 0.000 0.141
0.500 0.000 0.435
0.500 0.500 0.641
0.500 0.500 0.935
```

Top 10 peaks for 2θ from 5° to 70°, low angle first:
- hkl 0 0 4, 2θ 21.63, rel. 34
- hkl 1 0 2, 2θ 24.87, rel. 33
- hkl 1 1 1, 2θ 31.94, rel. 74
- hkl 0 1 5, 2θ 35.11, rel. 71
- hkl 1 1 3, 2θ 35.57, rel. 100
- hkl 1 0 6, 2θ 39.97, rel. 38
- hkl 0 2 0, 2θ 44.55, rel. 32
- hkl 2 0 0, 2θ 45.61, rel. 30
- hkl 1 0 8, 2θ 50.00, rel. 25
- hkl 2 1 5, 2θ 58.83, rel. 31